(1)
This entry pairs a crystal structure of Co4TeO8 with its calculated PXRD pattern. Radiation: Cu Kα, 1.54184 Å. Structure: a PBE+U-relaxed structure.
Intensities are scaled so that the largest is 100.

Top 8 peaks for 2θ from 15° to 90°, in order of rising 2θ:
- 17.9°, I = 100
- 18.1°, I = 45
- 34.3°, I = 25
- 36.7°, I = 24
- 41.2°, I = 67
- 44.1°, I = 28
- 61.5°, I = 18
- 62.3°, I = 16

Crystal structure
Cell lengths 10.431, 6.108, 10.264 Å; angles 90.00, 105.10, 90.00 degrees
Space group C2/m (No. 12)
Unique sites:
1 Co 0.000 0.000 0.000 (multiplicity 2)
2 Co 0.000 0.500 0.500 (multiplicity 2)
3 Co 0.249 0.000 0.752 (multiplicity 4)
4 Co 0.250 0.250 0.000 (multiplicity 4)
5 Co 0.250 0.250 0.500 (multiplicity 4)
6 Te 0.000 0.000 0.500 (multiplicity 2)
7 Te 0.000 0.500 0.000 (multiplicity 2)
8 O 0.112 0.226 0.610 (multiplicity 8)
9 O 0.119 0.271 0.106 (multiplicity 8)
10 O 0.121 0.500 0.888 (multiplicity 4)
11 O 0.131 0.000 0.394 (multiplicity 4)
12 O 0.153 0.500 0.400 (multiplicity 4)
13 O 0.156 0.000 0.908 (multiplicity 4)



(2)
This entry pairs a crystal structure of Co3TeO8 with its calculated PXRD pattern. Radiation: Cu Kα, 1.54184 Å. Structure: a PBE+U-relaxed structure.
Intensities are scaled so that the largest is 100.

Top 8 peaks for 2θ from 15° to 90°, in order of rising 2θ:
- 17.8°, I = 100
- 34.4°, I = 14
- 35.4°, I = 13
- 35.5°, I = 11
- 41.5°, I = 15
- 42.8°, I = 14
- 43.0°, I = 14
- 61.5°, I = 8

Crystal structure
Cell lengths 5.896, 6.031, 8.708 Å; angles 90.44, 90.22, 90.17 degrees
Space group P1 (No. 1)
Unique sites:
1 Co 0.000 0.000 0.000 (multiplicity 1)
2 Co 0.001 0.499 0.500 (multiplicity 1)
3 Co 0.251 0.751 0.750 (multiplicity 1)
4 Co 0.496 0.003 0.003 (multiplicity 1)
5 Co 0.503 0.496 0.502 (multiplicity 1)
6 Co 0.749 0.254 0.236 (multiplicity 1)
7 Te 0.248 0.244 0.256 (multiplicity 1)
8 Te 0.751 0.754 0.749 (multiplicity 1)
9 O 0.005 0.539 0.739 (multiplicity 1)
10 O 0.006 0.470 0.274 (multiplicity 1)
11 O 0.008 0.962 0.747 (multiplicity 1)
12 O 0.234 0.220 0.027 (multiplicity 1)
13 O 0.243 0.801 0.963 (multiplicity 1)
14 O 0.261 0.276 0.483 (multiplicity 1)
15 O 0.265 0.694 0.533 (multiplicity 1)
16 O 0.489 0.026 0.238 (multiplicity 1)
17 O 0.490 0.467 0.260 (multiplicity 1)
18 O 0.494 0.964 0.758 (multiplicity 1)
19 O 0.497 0.540 0.751 (multiplicity 1)
20 O 0.736 0.312 0.491 (multiplicity 1)
21 O 0.739 0.725 0.524 (multiplicity 1)
22 O 0.750 0.202 0.022 (multiplicity 1)
23 O 0.762 0.785 0.974 (multiplicity 1)
24 O 0.998 0.035 0.252 (multiplicity 1)



(3)
This entry pairs a crystal structure of Co3TeO8 with its calculated PXRD pattern. Radiation: Cu Kα, 1.54184 Å. Structure: a PBE+U-relaxed structure.
Intensities are scaled so that the largest is 100.

Top 8 peaks for 2θ from 15° to 90°, in order of rising 2θ:
- 18.0°, I = 100
- 34.4°, I = 14
- 35.0°, I = 15
- 35.1°, I = 11
- 36.5°, I = 13
- 41.6°, I = 15
- 42.7°, I = 27
- 61.2°, I = 11

Crystal structure
Cell lengths 5.983, 5.988, 6.054 Å; angles 60.40, 60.47, 89.91 degrees
Space group P-1 (No. 2)
Unique sites:
1 Co 0.000 0.000 0.000 (multiplicity 1)
2 Co 0.000 0.500 0.500 (multiplicity 1)
3 Co 0.500 0.000 0.000 (multiplicity 1)
4 Te 0.500 0.500 0.500 (multiplicity 1)
5 O 0.243 0.266 0.531 (multiplicity 2)
6 O 0.244 0.781 0.042 (multiplicity 2)
7 O 0.264 0.725 0.492 (multiplicity 2)
8 O 0.284 0.243 0.960 (multiplicity 2)